For AcNd4Tm6, the GGA-PBE geometry in Alexandria gives the computed powder diffraction line list in this record (Cu Kα (weighted mean of Kα1 and Kα2)).
Peak positions follow from Bragg's law for the DFT cell and can differ from measured ones.

Cell and atoms:
a = 6.328 Å, b = 10.469 Å, c = 23.178 Å
α = 90.00°, β = 90.00°, γ = 90.00°
Space group Fmmm (No. 69)
Symmetry-distinct sites (fractional):
Ac: 0.000 0.000 0.000 (multiplicity 4)
Nd: 0.000 0.172 0.127 (multiplicity 16)
Tm: 0.000 0.000 0.345 (multiplicity 8)
Tm: 0.000 0.160 0.500 (multiplicity 8)
Tm: 0.250 0.250 0.250 (multiplicity 8)

Largest 10 diffraction maxima, low angle first, 15° ≤ 2θ ≤ 90°:
2theta	intensity	h k l
28.2	252	2 0 0
28.7	180	0 2 6
29.3	201	2 0 2
30.9	340	0 0 8
31.5	1000	1 3 3
35.2	382	1 3 5
36.7	396	2 0 6
52.0	289	3 3 3
52.8	193	1 3 11
60.6	147	2 6 0